Calculated powder X-ray diffraction pattern
Compound: KGdO3
Radiation: Cu Kα (λ = 1.5418 Å)
Structure: a cell relaxed with GGA-PBE
Kinematic intensities with the Lorentz-polarization factor, no thermal factor.

Atomic structure:
Unit cell a=4.461 b=4.461 c=4.461 alpha=90.00 beta=90.00 gamma=90.00
Space group Pm-3m (No. 221)
One atom of each set of equivalent atoms:
1 K 0.000 0.000 0.000 [1 per cell]
2 Gd 0.500 0.500 0.500 [1 per cell]
3 O 0.000 0.500 0.500 [3 per cell]

Principal peaks in the range 2θ = 10–90°, in order of rising 2θ:
| (hkl) | 2θ (°) | Rel. int. |
| --- | --- | --- |
| 1 0 0 | 19.90 | 63 |
| 1 1 0 | 28.29 | 100 |
| 1 1 1 | 34.83 | 5 |
| 2 0 0 | 40.44 | 35 |
| 2 1 0 | 45.46 | 30 |
| 2 1 1 | 50.09 | 41 |
| 2 2 0 | 58.52 | 22 |
| 3 0 0 | 62.46 | 14 |
| 3 1 0 | 66.25 | 18 |
| 2 2 2 | 73.55 | 7 |
| 3 2 0 | 77.08 | 6 |
| 3 2 1 | 80.57 | 21 |



Calculated powder X-ray diffraction pattern
Compound: K3GdP2O8
Radiation: Cu Kα (λ = 1.5418 Å)
Structure: a cell relaxed with GGA-PBE
Kinematic intensities with the Lorentz-polarization factor, no thermal factor.

Atomic structure:
Unit cell a=7.514 b=5.676 c=9.535 alpha=90.00 beta=91.40 gamma=90.00
Space group P2_1/m (No. 11)
One atom of each set of equivalent atoms:
1 K 0.007 0.250 0.189 [2 per cell]
2 K 0.137 0.750 0.408 [2 per cell]
3 K 0.301 0.250 0.917 [2 per cell]
4 Gd 0.494 0.750 0.708 [2 per cell]
5 P 0.269 0.750 0.089 [2 per cell]
6 P 0.310 0.250 0.572 [2 per cell]
7 O 0.065 0.750 0.102 [2 per cell]
8 O 0.217 0.250 0.424 [2 per cell]
9 O 0.256 0.026 0.656 [4 per cell]
10 O 0.325 0.750 0.933 [2 per cell]
11 O 0.348 0.526 0.164 [4 per cell]
12 O 0.487 0.750 0.453 [2 per cell]

Principal peaks in the range 2θ = 10–90°, in order of rising 2θ:
| (hkl) | 2θ (°) | Rel. int. |
| --- | --- | --- |
| 1 0 0 | 11.78 | 100 |
| 0 1 1 | 18.19 | 39 |
| 1 1 1 | 21.85 | 72 |
| 1 1 2 | 27.37 | 19 |
| 2 0 -2 | 29.88 | 72 |
| 2 1 1 | 30.22 | 75 |
| 0 2 0 | 31.52 | 58 |
| 0 1 3 | 32.29 | 65 |
| 2 2 1 | 41.11 | 20 |
| 2 2 2 | 44.55 | 24 |
| 4 0 0 | 48.47 | 23 |
| 1 0 -5 | 49.05 | 19 |